(1)
For Al2Cr4O19, a cell relaxed with GGA+U gives the calculated X-ray powder pattern in this record (CuKα).
Lines closer than 0.1° are merged.

The 10 most intense peaks (10° ≤ 2θ ≤ 90°), low angle first:
two_theta	Rel. int.
15.29	30
16.51	20
17.58	22
17.74	41
23.31	19
25.37	42
25.51	42
25.90	16
26.73	100
30.44	14

Cell and atoms:
Unit cell a=5.425 b=10.735 c=14.770 alpha=90.00 beta=111.29 gamma=90.00
Element x y z (fractional)
Al 0.000 0.000 0.000
Al 0.000 0.000 0.500
Al 0.500 0.345 0.250
Al 0.500 0.655 0.750
Cr 0.268 0.399 0.847
Cr 0.268 0.601 0.347
Cr 0.358 0.095 0.371
Cr 0.358 0.905 0.871
Cr 0.642 0.095 0.129
Cr 0.642 0.905 0.629
Cr 0.732 0.399 0.653
Cr 0.732 0.601 0.153
O 0.000 0.334 0.750
O 0.000 0.666 0.250
O 0.116 0.115 0.605
O 0.116 0.885 0.105
O 0.132 0.106 0.426
O 0.132 0.894 0.926
O 0.180 0.426 0.939
O 0.180 0.574 0.439
O 0.195 0.345 0.133
O 0.195 0.655 0.633
O 0.293 0.027 0.805
O 0.293 0.973 0.305
O 0.330 0.083 0.047
O 0.330 0.917 0.547
O 0.337 0.221 0.300
O 0.337 0.779 0.800
O 0.357 0.465 0.308
O 0.357 0.535 0.808
O 0.492 0.301 0.621
O 0.492 0.699 0.121
O 0.508 0.301 0.879
O 0.508 0.699 0.379
O 0.643 0.465 0.192
O 0.643 0.535 0.692
O 0.663 0.221 0.200
O 0.663 0.779 0.700
O 0.670 0.083 0.453
O 0.670 0.917 0.953
O 0.707 0.027 0.695
O 0.707 0.973 0.195
O 0.805 0.345 0.367
O 0.805 0.655 0.867
O 0.820 0.426 0.561
O 0.820 0.574 0.061
O 0.868 0.106 0.074
O 0.868 0.894 0.574
O 0.884 0.115 0.895
O 0.884 0.885 0.395

(2)
For AlCrO3, a cell relaxed with GGA+U gives the calculated X-ray powder pattern in this record (CuKα).
Lines closer than 0.1° are merged.

The 10 most intense peaks (10° ≤ 2θ ≤ 90°), low angle first:
two_theta	Rel. int.
25.01	17
34.67	100
35.54	22
35.78	20
40.14	22
48.33	14
51.31	25
61.41	13
63.26	28
63.57	30

Cell and atoms:
Unit cell a=5.052 b=7.532 c=5.020 alpha=90.00 beta=90.00 gamma=90.00
Element x y z (fractional)
Al 0.022 0.250 0.012
Al 0.478 0.750 0.512
Al 0.522 0.250 0.488
Al 0.978 0.750 0.988
Cr 0.000 0.000 0.500
Cr 0.000 0.500 0.500
Cr 0.500 0.000 0.000
Cr 0.500 0.500 0.000
O 0.122 0.750 0.641
O 0.163 0.579 0.160
O 0.163 0.921 0.160
O 0.337 0.079 0.660
O 0.337 0.421 0.660
O 0.378 0.250 0.141
O 0.622 0.750 0.859
O 0.663 0.579 0.340
O 0.663 0.921 0.340
O 0.837 0.079 0.840
O 0.837 0.421 0.840
O 0.878 0.250 0.359

(3)
For Al2Cr2O7, a cell relaxed with GGA+U gives the calculated X-ray powder pattern in this record (CuKα).
Lines closer than 0.1° are merged.

The 10 most intense peaks (10° ≤ 2θ ≤ 90°), low angle first:
two_theta	Rel. int.
16.17	12
31.24	23
32.67	100
37.90	5
49.91	5
54.68	77
65.17	35
68.46	2
77.16	4
81.01	10

Cell and atoms:
Unit cell a=6.714 b=6.714 c=6.714 alpha=60.00 beta=60.00 gamma=60.00
Element x y z (fractional)
Al 0.000 0.000 0.000
Al 0.000 0.000 0.500
Al 0.000 0.500 0.000
Al 0.500 0.000 0.000
Cr 0.000 0.500 0.500
Cr 0.500 0.000 0.500
Cr 0.500 0.500 0.000
Cr 0.500 0.500 0.500
O 0.125 0.125 0.125
O 0.146 0.146 0.604
O 0.146 0.604 0.146
O 0.146 0.604 0.604
O 0.396 0.396 0.854
O 0.396 0.854 0.396
O 0.396 0.854 0.854
O 0.604 0.146 0.146
O 0.604 0.146 0.604
O 0.604 0.604 0.146
O 0.854 0.396 0.396
O 0.854 0.396 0.854
O 0.854 0.854 0.396
O 0.875 0.875 0.875

(4)
For AlCrO3, a cell relaxed with GGA+U gives the calculated X-ray powder pattern in this record (CuKα).
Lines closer than 0.1° are merged.

The 10 most intense peaks (10° ≤ 2θ ≤ 90°), low angle first:
two_theta	Rel. int.
15.10	18
30.46	44
33.42	100
36.02	17
51.13	31
57.81	15
58.00	38
65.13	9
66.93	23
68.62	9

Cell and atoms:
Unit cell a=3.180 b=3.180 c=11.738 alpha=90.00 beta=90.00 gamma=120.00
Element x y z (fractional)
Al 0.000 0.000 0.000
Al 0.000 0.000 0.500
Cr 0.333 0.667 0.250
Cr 0.667 0.333 0.750
O 0.000 0.000 0.250
O 0.000 0.000 0.750
O 0.333 0.667 0.076
O 0.333 0.667 0.424
O 0.667 0.333 0.576
O 0.667 0.333 0.924

(5)
For AlCrO4, a cell relaxed with GGA+U gives the calculated X-ray powder pattern in this record (CuKα).
Lines closer than 0.1° are merged.

The 10 most intense peaks (10° ≤ 2θ ≤ 90°), low angle first:
two_theta	Rel. int.
19.88	42
27.92	100
28.60	94
36.93	83
42.05	55
45.87	23
55.49	60
56.27	57
57.69	20
71.18	45

Cell and atoms:
Unit cell a=4.467 b=4.467 c=2.903 alpha=90.00 beta=90.00 gamma=91.36
Element x y z (fractional)
Al 0.000 0.000 0.000
Cr 0.500 0.500 0.500
O 0.197 0.197 0.500
O 0.302 0.698 0.000
O 0.698 0.302 0.000
O 0.803 0.803 0.500

(6)
For AlCrO3, a cell relaxed with GGA+U gives the calculated X-ray powder pattern in this record (CuKα).
Lines closer than 0.1° are merged.

The 10 most intense peaks (10° ≤ 2θ ≤ 90°), low angle first:
two_theta	Rel. int.
15.24	17
30.75	41
33.39	100
36.04	18
51.39	30
57.91	38
58.17	17
65.59	9
67.01	22
68.52	9

Cell and atoms:
Unit cell a=5.516 b=5.516 c=11.631 alpha=90.00 beta=90.00 gamma=120.00
Element x y z (fractional)
Al 0.000 0.000 0.000
Al 0.000 0.000 0.500
Al 0.333 0.667 0.496
Al 0.333 0.667 0.996
Al 0.667 0.333 0.496
Al 0.667 0.333 0.996
Cr 0.000 0.331 0.247
Cr 0.000 0.669 0.747
Cr 0.331 0.000 0.247
Cr 0.331 0.331 0.747
Cr 0.669 0.000 0.747
Cr 0.669 0.669 0.247
O 0.000 0.000 0.217
O 0.000 0.000 0.717
O 0.000 0.314 0.422
O 0.000 0.355 0.075
O 0.000 0.645 0.575
O 0.000 0.686 0.922
O 0.314 0.000 0.422
O 0.314 0.314 0.922
O 0.333 0.667 0.266
O 0.333 0.667 0.766
O 0.355 0.000 0.075
O 0.355 0.355 0.575
O 0.645 0.000 0.575
O 0.645 0.645 0.075
O 0.667 0.333 0.266
O 0.667 0.333 0.766
O 0.686 0.000 0.922
O 0.686 0.686 0.422

(7)
For AlCr3O8, a cell relaxed with GGA+U gives the calculated X-ray powder pattern in this record (CuKα).
Lines closer than 0.1° are merged.

The 10 most intense peaks (10° ≤ 2θ ≤ 90°), low angle first:
two_theta	Rel. int.
18.52	100
18.70	72
35.89	44
43.74	80
57.86	10
58.06	10
63.31	20
63.83	20
66.63	13
80.12	9

Cell and atoms:
Unit cell a=5.833 b=5.833 c=5.833 alpha=60.48 beta=60.48 gamma=60.48
Element x y z (fractional)
Al 0.000 0.000 0.000
Cr 0.000 0.000 0.500
Cr 0.000 0.500 0.000
Cr 0.500 0.000 0.000
O 0.196 0.768 0.768
O 0.232 0.232 0.804
O 0.232 0.804 0.232
O 0.235 0.235 0.235
O 0.765 0.765 0.765
O 0.768 0.196 0.768
O 0.768 0.768 0.196
O 0.804 0.232 0.232

(8)
For Al4Cr13Si2Sb2O28, a cell relaxed with GGA+U gives the calculated X-ray powder pattern in this record (CuKα).
Lines closer than 0.1° are merged.

The 10 most intense peaks (10° ≤ 2θ ≤ 90°), low angle first:
two_theta	Rel. int.
20.84	32
30.97	64
31.38	67
31.49	90
33.75	100
35.78	52
47.06	39
54.62	30
55.13	51
60.22	32

Cell and atoms:
Unit cell a=12.110 b=12.110 c=8.691 alpha=92.66 beta=92.66 gamma=152.50
Element x y z (fractional)
Al 0.010 0.572 0.835
Al 0.428 0.990 0.165
Al 0.572 0.010 0.835
Al 0.990 0.428 0.165
Cr 0.074 0.926 0.500
Cr 0.106 0.394 0.863
Cr 0.168 0.307 0.150
Cr 0.215 0.785 0.500
Cr 0.307 0.168 0.150
Cr 0.394 0.106 0.863
Cr 0.500 0.500 0.500
Cr 0.606 0.894 0.137
Cr 0.693 0.832 0.850
Cr 0.785 0.215 0.500
Cr 0.832 0.693 0.850
Cr 0.894 0.606 0.137
Cr 0.926 0.074 0.500
Si 0.263 0.263 0.821
Si 0.737 0.737 0.179
Sb 0.360 0.640 0.500
Sb 0.640 0.360 0.500
O 0.027 0.312 0.622
O 0.055 0.496 0.379
O 0.119 0.238 0.901
O 0.124 0.672 0.126
O 0.146 0.146 0.631
O 0.163 0.469 0.107
O 0.213 0.352 0.391
O 0.238 0.119 0.901
O 0.312 0.027 0.622
O 0.328 0.876 0.874
O 0.352 0.213 0.391
O 0.451 0.451 0.164
O 0.469 0.163 0.107
O 0.496 0.055 0.379
O 0.504 0.945 0.621
O 0.531 0.837 0.893
O 0.549 0.549 0.836
O 0.648 0.787 0.609
O 0.672 0.124 0.126
O 0.688 0.973 0.378
O 0.762 0.881 0.099
O 0.787 0.648 0.609
O 0.837 0.531 0.893
O 0.854 0.854 0.369
O 0.876 0.328 0.874
O 0.881 0.762 0.099
O 0.945 0.504 0.621
O 0.973 0.688 0.378

(9)
For Sr2YAlCr2O7, a cell relaxed with GGA+U gives the calculated X-ray powder pattern in this record (CuKα).
Lines closer than 0.1° are merged.

The 10 most intense peaks (10° ≤ 2θ ≤ 90°), low angle first:
two_theta	Rel. int.
22.24	13
31.18	27
32.14	29
32.64	100
39.01	16
45.39	33
48.25	11
56.42	20
57.62	22
75.70	10

Cell and atoms:
Unit cell a=12.002 b=12.002 c=12.002 alpha=38.92 beta=152.34 gamma=153.17
Element x y z (fractional)
Sr 0.025 0.156 0.181
Sr 0.025 0.344 0.369
Sr 0.975 0.656 0.631
Sr 0.975 0.844 0.819
Y 0.000 0.000 0.000
Y 0.000 0.500 0.500
Al 0.410 0.735 0.175
Al 0.560 0.235 0.825
Cr 0.506 0.584 0.074
Cr 0.506 0.932 0.422
Cr 0.510 0.084 0.578
Cr 0.510 0.432 0.926
O 0.006 0.422 0.085
O 0.008 0.157 0.721
O 0.008 0.786 0.350
O 0.010 0.371 0.779
O 0.010 0.731 0.139
O 0.337 0.922 0.915
O 0.436 0.286 0.279
O 0.436 0.657 0.650
O 0.477 0.220 0.620
O 0.477 0.357 0.757
O 0.592 0.231 0.221
O 0.592 0.871 0.861
O 0.601 0.720 0.243
O 0.601 0.857 0.380

(10)
For AlCrW2O8, a cell relaxed with GGA+U gives the calculated X-ray powder pattern in this record (CuKα).
Lines closer than 0.1° are merged.

The 10 most intense peaks (10° ≤ 2θ ≤ 90°), low angle first:
two_theta	Rel. int.
15.98	31
19.35	85
23.70	82
25.19	79
30.67	100
30.88	98
35.19	37
36.89	51
42.06	39
53.45	50

Cell and atoms:
Unit cell a=5.101 b=5.547 c=9.174 alpha=90.03 beta=90.53 gamma=90.06
Element x y z (fractional)
Al 0.000 0.000 0.000
Al 0.500 0.304 0.499
Cr 0.000 0.013 0.500
Cr 0.500 0.290 0.999
W 0.004 0.489 0.748
W 0.497 0.815 0.751
W 0.504 0.815 0.248
W 0.998 0.488 0.250
O 0.157 0.270 0.885
O 0.160 0.770 0.361
O 0.165 0.779 0.868
O 0.182 0.274 0.389
O 0.318 0.031 0.110
O 0.335 0.526 0.630
O 0.341 0.534 0.137
O 0.343 0.034 0.613
O 0.656 0.034 0.386
O 0.661 0.535 0.861
O 0.666 0.525 0.368
O 0.683 0.030 0.889
O 0.817 0.273 0.610
O 0.835 0.776 0.130
O 0.839 0.768 0.637
O 0.844 0.269 0.113